(1)
For Cs2RbAsF6, the GGA-PBE geometry in the Materials Project gives the theoretical XRD peak list in this record (a wavelength of 1.5418 Å).
Intensities are scaled so that the largest is 1000.

Structural model:
Cell lengths 6.7811, 6.7811, 6.7811 Å; angles 60.00, 60.00, 60.00 degrees
Atoms (fractional coordinates):
Cs 0.2500 0.2500 0.2500
Cs 0.7500 0.7500 0.7500
Rb 0.0000 0.0000 0.0000
As 0.5000 0.5000 0.5000
F 0.2829 0.2829 0.7171
F 0.2829 0.7171 0.2829
F 0.2829 0.7171 0.7171
F 0.7171 0.2829 0.2829
F 0.7171 0.2829 0.7171
F 0.7171 0.7171 0.2829

Principal peaks in the range 15 to 90 degrees two-theta, by intensity:
26.3 deg, rel. 1000
46.4 deg, rel. 399
37.5 deg, rel. 355
74.0 deg, rel. 229
54.1 deg, rel. 222
61.1 deg, rel. 208
86.0 deg, rel. 110
32.3 deg, rel. 108
67.7 deg, rel. 70
80.0 deg, rel. 32
64.4 deg, rel. 28
18.5 deg, rel. 18

(2)
For Cs2TlAsF6, the GGA-PBE geometry in the Materials Project gives the theoretical XRD peak list in this record (a wavelength of 1.5418 Å).
Intensities are scaled so that the largest is 1000.

Structural model:
Cell lengths 6.7747, 6.7747, 6.7747 Å; angles 60.00, 60.00, 60.00 degrees
Atoms (fractional coordinates):
Cs 0.2500 0.2500 0.2500
Cs 0.7500 0.7500 0.7500
Tl 0.0000 0.0000 0.0000
As 0.5000 0.5000 0.5000
F 0.2830 0.2830 0.7170
F 0.2830 0.7170 0.2830
F 0.2830 0.7170 0.7170
F 0.7170 0.2830 0.2830
F 0.7170 0.2830 0.7170
F 0.7170 0.7170 0.2830

Principal peaks in the range 15 to 90 degrees two-theta, by intensity:
26.3 deg, rel. 1000
46.4 deg, rel. 413
37.6 deg, rel. 318
74.0 deg, rel. 232
61.2 deg, rel. 209
54.2 deg, rel. 205
86.1 deg, rel. 114
31.0 deg, rel. 86
16.0 deg, rel. 71
67.8 deg, rel. 66
41.1 deg, rel. 62
80.1 deg, rel. 30

(3)
For CsFe4As3, the GGA-PBE geometry in the Materials Project gives the theoretical XRD peak list in this record (a wavelength of 1.5418 Å).
Intensities are scaled so that the largest is 1000.

Structural model:
Cell lengths 3.8697, 3.8697, 10.1658 Å; angles 90.00, 90.00, 90.00 degrees
Atoms (fractional coordinates):
Cs 0.0000 0.0000 0.0000
Fe 0.0000 0.5000 0.3671
Fe 0.0000 0.5000 0.6329
Fe 0.5000 0.0000 0.3671
Fe 0.5000 0.0000 0.6329
As 0.0000 0.0000 0.5000
As 0.5000 0.5000 0.2418
As 0.5000 0.5000 0.7582

Principal peaks in the range 15 to 90 degrees two-theta, by intensity:
29.0 deg, rel. 1000
48.9 deg, rel. 605
47.0 deg, rel. 352
56.1 deg, rel. 304
33.9 deg, rel. 242
88.7 deg, rel. 213
59.6 deg, rel. 122
26.3 deg, rel. 120
68.6 deg, rel. 108
79.1 deg, rel. 108
42.5 deg, rel. 77
76.1 deg, rel. 62